The following is a computed PXRD pattern of Ce2Bi. It was derived from a structure optimized by DFT (PBE), using Cu Kα, 1.54184 Å.

Top 10 peaks for 5 to 70 degrees two-theta, in order of rising 2θ:
2θ (°), I_rel
27.7, 25
29.5, 67
29.9, 35
31.7, 24
34.3, 100
39.6, 55
50.4, 33
57.3, 19
60.3, 15
68.5, 28

a = 9.5341 Å, b = 9.5341 Å, c = 9.5341 Å
α = 152.38°, β = 152.38°, γ = 39.46°
Element x y z (fractional)
Ce 0.0000 0.5000 0.5000
Ce 0.1743 0.1743 0.0000
Ce 0.5000 0.0000 0.5000
Ce 0.8257 0.8257 0.0000
Bi 0.3615 0.3615 0.0000
Bi 0.6385 0.6385 0.0000